Starting from a DFT-relaxed cell (GGA-PBE, Alexandria), the PXRD pattern of Tb3Tm5Pb2 was computed for Cu Kα.
Intensities are scaled so that the largest is 100.

Largest 12 diffraction maxima, in order of falling intensity, 2θ = 10–90°:
- (0 2 2), 2θ = 30.5°, rel. 100
- (4 0 2), 2θ = 40.4°, rel. 43
- (0 4 2), 2θ = 36.5°, rel. 37
- (2 5 1), 2θ = 34.9°, rel. 36
- (0 6 0), 2θ = 34.3°, rel. 23
- (4 6 2), 2θ = 54.0°, rel. 21
- (2 5 3), 2θ = 54.4°, rel. 17
- (2 3 1), 2θ = 26.2°, rel. 17
- (2 1 1), 2θ = 20.7°, rel. 14
- (4 2 4), 2θ = 67.4°, rel. 10
- (0 10 2), 2θ = 66.5°, rel. 10
- (8 2 2), 2θ = 67.3°, rel. 9

```
data_Tb3Tm5Pb2
_symmetry_space_group_name_H-M 'I b a m'
_symmetry_Int_Tables_number 72
_symmetry_space_group_name_Hall '-I 2 2c'
_cell_length_a 12.657
_cell_length_b 15.706
_cell_length_c 6.313
_cell_angle_alpha 90.00
_cell_angle_beta 90.00
_cell_angle_gamma 90.00
loop_
_atom_site_label
_atom_site_type_symbol
_atom_site_fract_x
_atom_site_fract_y
_atom_site_fract_z
Tb1 Tb 0.000 0.000 0.250
Tb2 Tb 0.121 0.219 0.000
Tm1 Tm 0.000 0.500 0.250
Tm2 Tm 0.104 0.337 0.500
Tm3 Tm 0.248 0.500 0.250
Pb1 Pb 0.143 0.149 0.500
```